Computed X-ray powder pattern of LuVO4 for Cu Kα (λ = 1.5418 Å), from a GGA+U-relaxed structure.
Peak positions follow from Bragg's law for the DFT cell and can differ from measured ones.

Principal peaks in the range 10 to 90 degrees two-theta, in order of falling intensity:
- hkl 1 1 2, 29.95 deg, intensity 100.0
- hkl 1 0 1, 19.44 deg, intensity 38.1
- hkl 1 3 2, 60.78 deg, intensity 30.3
- hkl 2 0 4, 49.08 deg, intensity 29.7
- hkl 2 0 0, 35.81 deg, intensity 20.0
- hkl 1 1 6, 56.31 deg, intensity 16.9
- hkl 2 1 1, 41.07 deg, intensity 16.0
- hkl 0 0 4, 32.43 deg, intensity 15.0
- hkl 2 2 0, 51.55 deg, intensity 13.0
- hkl 1 2 3, 47.47 deg, intensity 12.0
- hkl 3 1 6, 79.83 deg, intensity 11.7
- hkl 2 2 4, 62.23 deg, intensity 11.3

Structure:
abc: 5.015 5.015 11.044
angles: 90.00 90.00 90.00
Space group I4_1/a (No. 88, origin choice 2)
Unique sites:
1 Lu 0.000 0.250 0.125
2 V 0.000 0.250 0.625
3 O 0.154 0.009 0.293